Calculated powder diffractogram
Compound: P4Ru
Radiation: Cu Kα (weighted mean of Kα1 and Kα2)
Structure: a GGA-PBE-relaxed structure

Structural model:
a = 4.746 Å, b = 7.202 Å, c = 7.580 Å
α = 111.19°, β = 90.36°, γ = 100.44°
Element x y z (fractional)
P 0.099 0.368 0.401
P 0.109 0.831 0.269
P 0.159 0.086 0.937
P 0.227 0.573 0.049
P 0.295 0.296 0.625
P 0.322 0.838 0.714
P 0.678 0.162 0.286
P 0.705 0.704 0.375
P 0.773 0.427 0.951
P 0.841 0.914 0.063
P 0.891 0.169 0.731
P 0.901 0.632 0.599
Ru 0.442 0.373 0.172
Ru 0.500 0.000 0.500
Ru 0.558 0.627 0.828

Main lines, low angle first (2θ = 15–90°):
2θ (°), Rel. int., index
19.07, 53, 1 0 0
21.61, 55, 0 1 1
23.85, 30, 0 1 -2
25.29, 25, 0 2 -1
26.39, 42, -1 1 1
29.06, 34, 1 -2 1
31.15, 100, 1 1 -2
31.36, 96, 1 1 1
33.45, 47, 1 -2 2
44.96, 28, 0 3 -3
50.59, 40, 2 2 -1
53.40, 28, 0 3 -4